Structure and simulated powder XRD pattern of Eu5SiCl6O4 (a GGA-PBE-relaxed structure; CuKα).

Largest 8 diffraction maxima, sorted by position, 10° ≤ 2θ ≤ 90°:
(hkl)	d/Å	2θ (°)	I (rel.)
1 1 2	4.034	22.04	89
2 2 -1	3.759	23.67	100
1 1 -3	3.523	25.28	60
0 4 1	3.337	26.71	52
3 1 0	2.879	31.06	44
1 3 -3	2.872	31.14	53
3 1 1	2.641	33.94	46
2 4 -2	2.600	34.50	48

Structure:
a b c (Å): 9.059 14.028 11.113
angles (deg): 90.00 103.01 90.00
Space group C2/c (No. 15)
Asymmetric unit:
Eu 0.000 0.200 0.250
Eu 0.058 0.371 0.981
Eu 0.155 0.080 0.632
Si 0.000 0.422 0.250
Cl 0.000 0.246 0.750
Cl 0.129 0.149 0.046
Cl 0.173 0.031 0.359
Cl 0.250 0.250 0.500
O 0.081 0.481 0.375
O 0.128 0.351 0.212